This entry pairs a crystal structure of LiLa5Hg3 with its simulated powder X-ray diffraction pattern. Radiation: λ = 1.5418 Å (Cu Kα). Structure: a structure optimized by DFT (PBE).

Atomic structure:
Cell lengths 9.574, 9.574, 6.990 Å; angles 90.00, 90.00, 120.00 degrees
Fractional coordinates of all 18 atoms:
Li: 0.000 0.000 0.000
Li: 0.000 0.000 0.500
La: 0.000 0.310 0.250
La: 0.000 0.690 0.750
La: 0.310 0.000 0.250
La: 0.310 0.310 0.750
La: 0.333 0.667 0.000
La: 0.333 0.667 0.500
La: 0.667 0.333 0.000
La: 0.667 0.333 0.500
La: 0.690 0.000 0.750
La: 0.690 0.690 0.250
Hg: 0.000 0.351 0.750
Hg: 0.000 0.649 0.250
Hg: 0.351 0.000 0.750
Hg: 0.351 0.351 0.250
Hg: 0.649 0.000 0.250
Hg: 0.649 0.649 0.750

Main lines, in order of rising 2θ (10 to 80 degrees two-theta):
two_theta, intensity
10.67, 14.5
18.53, 11.6
25.49, 21.2
31.70, 82.6
32.39, 100.0
41.66, 30.9
45.96, 28.0
57.34, 27.1
57.78, 16.6
62.93, 30.0

This entry pairs a crystal structure of TlCuS4 with its simulated powder X-ray diffraction pattern. Radiation: λ = 1.5418 Å (Cu Kα). Structure: a structure optimized by DFT (PBE).

Atomic structure:
Cell lengths 13.300, 13.300, 13.300 Å; angles 157.32, 157.32, 32.29 degrees
Fractional coordinates of all 12 atoms:
Tl: 0.375 0.125 0.250
Tl: 0.625 0.875 0.750
Cu: 0.125 0.375 0.750
Cu: 0.875 0.625 0.250
S: 0.039 0.349 0.027
S: 0.151 0.677 0.689
S: 0.177 0.988 0.527
S: 0.488 0.461 0.811
S: 0.512 0.539 0.189
S: 0.823 0.012 0.473
S: 0.849 0.323 0.311
S: 0.961 0.651 0.973

Main lines, in order of rising 2θ (10 to 80 degrees two-theta):
two_theta, intensity
13.86, 100.0
19.92, 39.6
25.07, 61.1
29.85, 15.1
32.05, 54.6
34.29, 16.3
37.15, 30.2
43.03, 27.8
44.79, 20.7
56.07, 26.0

This entry pairs a crystal structure of RbNbFeTePd with its simulated powder X-ray diffraction pattern. Radiation: λ = 1.5418 Å (Cu Kα). Structure: a structure optimized by DFT (PBE).

Atomic structure:
Cell lengths 8.758, 8.758, 8.758 Å; angles 27.73, 27.73, 27.73 degrees
Fractional coordinates of all 5 atoms:
Rb: 0.000 0.000 0.000
Nb: 0.153 0.153 0.153
Fe: 0.829 0.829 0.829
Te: 0.555 0.555 0.555
Pd: 0.434 0.434 0.434

Main lines, in order of rising 2θ (10 to 80 degrees two-theta):
two_theta, intensity
10.51, 100.0
25.50, 52.4
30.30, 42.1
35.05, 94.9
37.75, 18.9
43.11, 75.0
43.65, 15.5
44.50, 16.5
56.72, 23.0
73.81, 20.7

This entry pairs a crystal structure of BaTl3Pd2 with its simulated powder X-ray diffraction pattern. Radiation: λ = 1.5418 Å (Cu Kα). Structure: a structure optimized by DFT (PBE).

Atomic structure:
Cell lengths 7.914, 7.914, 7.914 Å; angles 59.65, 59.65, 59.65 degrees
Fractional coordinates of all 12 atoms:
Ba: 0.225 0.225 0.225
Ba: 0.775 0.775 0.775
Tl: 0.261 0.261 0.737
Tl: 0.261 0.737 0.261
Tl: 0.263 0.739 0.739
Tl: 0.737 0.261 0.261
Tl: 0.739 0.263 0.739
Tl: 0.739 0.739 0.263
Pd: 0.000 0.000 0.000
Pd: 0.000 0.500 0.500
Pd: 0.500 0.000 0.500
Pd: 0.500 0.500 0.000

Main lines, in order of rising 2θ (10 to 80 degrees two-theta):
two_theta, intensity
26.54, 13.1
27.53, 12.0
27.73, 43.0
32.07, 100.0
35.01, 12.6
45.87, 31.8
46.12, 37.9
57.28, 18.6
76.11, 11.1
76.49, 15.4

This entry pairs a crystal structure of KLi2Ca2Bi2 with its simulated powder X-ray diffraction pattern. Radiation: λ = 1.5418 Å (Cu Kα). Structure: a structure optimized by DFT (PBE).

Atomic structure:
Cell lengths 10.485, 10.485, 10.485 Å; angles 28.06, 28.06, 28.06 degrees
Fractional coordinates of all 7 atoms:
K: 0.000 0.000 0.000
Li: 0.424 0.424 0.424
Li: 0.576 0.576 0.576
Ca: 0.133 0.133 0.133
Ca: 0.867 0.867 0.867
Bi: 0.247 0.247 0.247
Bi: 0.753 0.753 0.753

Main lines, in order of rising 2θ (10 to 80 degrees two-theta):
two_theta, intensity
17.62, 44.1
21.02, 100.0
23.39, 74.6
31.21, 75.1
35.31, 60.4
36.07, 31.5
39.72, 37.2
47.83, 22.9
51.07, 21.5
60.83, 22.3

This entry pairs a crystal structure of CaLaGa2Cu with its simulated powder X-ray diffraction pattern. Radiation: λ = 1.5418 Å (Cu Kα). Structure: a structure optimized by DFT (PBE).

Atomic structure:
Cell lengths 5.326, 5.326, 4.899 Å; angles 90.00, 90.00, 90.00 degrees
Fractional coordinates of all 5 atoms:
Ca: 0.000 0.000 0.000
La: 0.500 0.500 0.500
Ga: 0.000 0.500 0.000
Ga: 0.500 0.000 0.000
Cu: 0.000 0.000 0.500

Main lines, in order of rising 2θ (10 to 80 degrees two-theta):
two_theta, intensity
23.62, 9.9
24.69, 20.6
29.93, 100.0
33.65, 59.5
36.69, 23.4
48.33, 20.9
50.63, 36.3
57.90, 30.3
61.94, 12.3
62.18, 19.0